Structure and calculated XRD peak list of LaTb2Sn2Pb5 (a PBE-relaxed structure; CuKα).
Peak positions follow from Bragg's law for the DFT cell and can differ from measured ones.

Main lines, in order of rising 2θ (5 to 70 degrees two-theta):
d_spacing, 2θ/deg, I/Imax, hkl
2.800, 32.0, 100, 1 5 1
2.579, 34.8, 18, 0 10 0
2.375, 37.9, 17, 0 0 2
2.341, 38.4, 16, 2 0 0
1.440, 64.7, 14, 1 5 3
1.425, 65.5, 13, 3 5 1

Structure:
```
data_LaTb2Sn2Pb5
_chemical_formula_sum 'La2 Tb4 Sn4 Pb10'
_symmetry_space_group_name_H-M 'C m m m'
_symmetry_Int_Tables_number 65
_symmetry_space_group_name_Hall '-C 2 2'
_cell_length_a 4.683
_cell_length_b 25.785
_cell_length_c 4.751
_cell_angle_alpha 90.00
_cell_angle_beta 90.00
_cell_angle_gamma 90.00
loop_
_atom_site_label
_atom_site_fract_x
_atom_site_fract_y
_atom_site_fract_z
La1 0.000 0.000 0.000
Tb1 0.000 0.188 0.000
Sn1 0.000 0.401 0.000
Pb1 0.000 0.099 0.500
Pb2 0.000 0.294 0.500
Pb3 0.000 0.500 0.500
```